[1]
K3Rb3Au2: theoretical powder XRD pattern (CuKα), based on a PBE-relaxed structure.

Atomic structure:
```
data_K3Rb3Au2
_chemical_formula_sum 'K36 Rb36 Au24'
_symmetry_space_group_name_H-M 'R -3'
_symmetry_Int_Tables_number 148
_symmetry_space_group_name_Hall '-R 3'
_cell_length_a 17.6332
_cell_length_b 17.6332
_cell_length_c 22.4380
_cell_angle_alpha 90.00
_cell_angle_beta 90.00
_cell_angle_gamma 120.00
loop_
_atom_site_label
_atom_site_type_symbol
_atom_site_fract_x
_atom_site_fract_y
_atom_site_fract_z
K1 K 0.0266 0.7560 0.4617
K2 K 0.0295 0.8671 0.1707
Rb1 Rb 0.0044 0.1634 0.3475
Rb2 Rb 0.0630 0.5996 0.6183
Au1 Au 0.0000 0.0000 0.2596
Au2 Au 0.0068 0.4922 0.7541
```

Principal peaks in the range 5 to 70 degrees two-theta, by angle:
two_theta, d [Å], I_rel, index
14.03, 6.312, 100, 2 0 2
19.64, 4.521, 19, 0 2 4
20.14, 4.408, 22, 2 2 0
28.28, 3.156, 23, 4 0 4
31.37, 2.852, 39, 2 2 6
32.02, 2.796, 38, 6 -2 2
34.05, 2.633, 16, 2 0 8
34.96, 2.566, 25, 6 -4 4

=====

[2]
K5Rb2Au2: theoretical powder XRD pattern (CuKα), based on a PBE-relaxed structure.

Atomic structure:
```
data_K5Rb2Au2
_chemical_formula_sum 'K10 Rb4 Au4'
_symmetry_space_group_name_H-M 'C 1 2/m 1'
_symmetry_Int_Tables_number 12
_cell_length_a 17.973
_cell_length_b 5.176
_cell_length_c 14.132
_cell_angle_alpha 90.00
_cell_angle_beta 123.95
_cell_angle_gamma 90.00
loop_
_symmetry_equiv_pos_as_xyz
'x,y,z'
'-x,-y,-z'
'-x,y,-z'
'x,-y,z'
'x+1/2,y+1/2,z'
'-x+1/2,-y+1/2,-z'
'-x+1/2,y+1/2,-z'
'x+1/2,-y+1/2,z'
loop_
_atom_site_label
_atom_site_type_symbol
_atom_site_fract_x
_atom_site_fract_y
_atom_site_fract_z
K1 K 0.000 0.000 0.000
K2 K 0.141 0.000 0.643
K3 K 0.179 0.500 0.015
Rb1 Rb 0.073 0.500 0.321
Au1 Au 0.088 0.000 0.836
```

Principal peaks in the range 5 to 70 degrees two-theta, by angle:
two_theta, d [Å], I_rel, index
7.54, 11.723, 57, 0 0 1
11.87, 7.455, 34, 2 0 0
12.99, 6.814, 100, 2 0 -2
20.93, 4.245, 82, 1 1 1
26.16, 3.407, 38, 4 0 -4
26.46, 3.368, 39, 1 1 -3
28.83, 3.097, 66, 3 1 1
34.67, 2.587, 33, 0 2 0

=====

[3]
K2Rb14Au9: theoretical powder XRD pattern (CuKα), based on a PBE-relaxed structure.

Atomic structure:
```
data_K2Rb14Au9
_chemical_formula_sum 'K2 Rb14 Au9'
_symmetry_space_group_name_H-M 'P -3'
_symmetry_Int_Tables_number 147
_cell_length_a 10.3064
_cell_length_b 10.3064
_cell_length_c 13.6871
_cell_angle_alpha 90.00
_cell_angle_beta 90.00
_cell_angle_gamma 120.00
loop_
_symmetry_equiv_pos_as_xyz
'x,y,z'
'-x,-y,-z'
'-y,x-y,z'
'y,-x+y,-z'
'-x+y,-x,z'
'x-y,x,-z'
loop_
_atom_site_label
_atom_site_type_symbol
_atom_site_fract_x
_atom_site_fract_y
_atom_site_fract_z
K1 K 0.3333 0.6667 0.2745
Rb1 Rb 0.0000 0.0000 0.2620
Rb2 Rb 0.0365 0.6716 0.9006
Rb3 Rb 0.0790 0.4002 0.6057
Au1 Au 0.0000 0.0000 0.0000
Au2 Au 0.0618 0.3424 0.3516
Au3 Au 0.3333 0.6667 0.0345
```

Principal peaks in the range 5 to 70 degrees two-theta, by angle:
two_theta, d [Å], I_rel, index
18.40, 4.823, 100, 2 -1 1
19.46, 4.562, 37, 0 0 3
26.42, 3.374, 16, 1 2 0
27.23, 3.276, 33, 3 -2 1
30.04, 2.975, 67, 3 0 0
31.38, 2.851, 71, 2 -1 4
33.02, 2.713, 22, 1 2 3
36.04, 2.492, 25, 0 3 3

=====

[4]
KRb5Au4: theoretical powder XRD pattern (CuKα), based on a PBE-relaxed structure.

Atomic structure:
```
data_KRb5Au4
_chemical_formula_sum 'K2 Rb10 Au8'
_symmetry_space_group_name_H-M 'I m m m'
_symmetry_Int_Tables_number 71
_symmetry_space_group_name_Hall '-I 2 2'
_cell_length_a 5.294
_cell_length_b 11.881
_cell_length_c 13.874
_cell_angle_alpha 90.00
_cell_angle_beta 90.00
_cell_angle_gamma 90.00
loop_
_atom_site_label
_atom_site_type_symbol
_atom_site_fract_x
_atom_site_fract_y
_atom_site_fract_z
K1 K 0.000 0.000 0.000
Rb1 Rb 0.000 0.000 0.500
Rb2 Rb 0.000 0.313 0.335
Au1 Au 0.000 0.000 0.242
Au2 Au 0.000 0.278 0.000
```

Principal peaks in the range 5 to 70 degrees two-theta, by angle:
two_theta, d [Å], I_rel, index
19.68, 4.512, 55, 0 2 2
25.58, 3.483, 47, 1 0 3
25.68, 3.468, 29, 0 0 4
28.14, 3.171, 100, 1 3 0
29.73, 3.005, 96, 1 2 3
31.75, 2.818, 36, 1 1 4
33.86, 2.647, 45, 2 0 0
39.96, 2.256, 33, 0 4 4

=====

[5]
K2RbAu2: theoretical powder XRD pattern (CuKα), based on a PBE-relaxed structure.

Atomic structure:
```
data_K2RbAu2
_chemical_formula_sum 'K8 Rb4 Au8'
_symmetry_space_group_name_H-M 'C m c 21'
_symmetry_Int_Tables_number 36
_cell_length_a 5.169
_cell_length_b 15.513
_cell_length_c 9.984
_cell_angle_alpha 90.00
_cell_angle_beta 90.00
_cell_angle_gamma 90.00
loop_
_symmetry_equiv_pos_as_xyz
'x,y,z'
'-x,-y,z+1/2'
'-x,y,z'
'x,-y,z+1/2'
'x+1/2,y+1/2,z'
'-x+1/2,-y+1/2,z+1/2'
'-x+1/2,y+1/2,z'
'x+1/2,-y+1/2,z+1/2'
loop_
_atom_site_label
_atom_site_type_symbol
_atom_site_fract_x
_atom_site_fract_y
_atom_site_fract_z
K1 K 0.000 0.118 0.000
K2 K 0.000 0.315 0.759
Rb1 Rb 0.000 0.408 0.140
Au1 Au 0.000 0.063 0.337
Au2 Au 0.000 0.236 0.448
```

Principal peaks in the range 5 to 70 degrees two-theta, by angle:
two_theta, d [Å], I_rel, index
14.46, 6.125, 58, 0 2 1
20.17, 4.402, 100, 1 1 1
25.46, 3.498, 80, 1 1 2
25.96, 3.433, 79, 1 3 1
29.18, 3.060, 49, 0 2 3
34.71, 2.585, 71, 2 0 0
34.90, 2.570, 83, 1 5 1
36.51, 2.461, 41, 1 3 3

=====

[6]
K3Rb6Au: theoretical powder XRD pattern (CuKα), based on a PBE-relaxed structure.

Atomic structure:
```
data_K3Rb6Au
_chemical_formula_sum 'K6 Rb12 Au2'
_symmetry_space_group_name_H-M 'P 1 21/c 1'
_symmetry_Int_Tables_number 14
_cell_length_a 8.388
_cell_length_b 13.153
_cell_length_c 16.087
_cell_angle_alpha 90.00
_cell_angle_beta 121.24
_cell_angle_gamma 90.00
loop_
_symmetry_equiv_pos_as_xyz
'x,y,z'
'-x,-y,-z'
'-x,y+1/2,-z+1/2'
'x,-y+1/2,z+1/2'
loop_
_atom_site_label
_atom_site_type_symbol
_atom_site_fract_x
_atom_site_fract_y
_atom_site_fract_z
K1 K 0.000 0.000 0.000
K2 K 0.370 0.056 0.849
Rb1 Rb 0.165 0.124 0.295
Rb2 Rb 0.173 0.646 0.023
Rb3 Rb 0.481 0.706 0.859
Au1 Au 0.500 0.000 0.500
```

Principal peaks in the range 5 to 70 degrees two-theta, by angle:
two_theta, d [Å], I_rel, index
9.30, 9.506, 100, 0 1 1
12.36, 7.161, 33, 1 0 0
12.52, 7.072, 33, 1 1 -1
21.48, 4.138, 30, 1 2 1
22.25, 3.996, 34, 2 1 -2
23.10, 3.851, 33, 1 1 2
26.35, 3.382, 50, 1 3 -3
35.27, 2.544, 24, 3 1 -1

=====

[7]
K3Rb6Au: theoretical powder XRD pattern (CuKα), based on a PBE-relaxed structure.

Atomic structure:
```
data_K3Rb6Au
_chemical_formula_sum 'K18 Rb36 Au6'
_symmetry_space_group_name_H-M 'R -3 m'
_symmetry_Int_Tables_number 166
_symmetry_space_group_name_Hall '-R 3 2"'
_cell_length_a 14.7037
_cell_length_b 14.7037
_cell_length_c 24.0183
_cell_angle_alpha 90.00
_cell_angle_beta 90.00
_cell_angle_gamma 120.00
loop_
_atom_site_label
_atom_site_type_symbol
_atom_site_fract_x
_atom_site_fract_y
_atom_site_fract_z
K1 K 0.1090 0.2180 0.2523
Rb1 Rb 0.1101 0.2203 0.9149
Rb2 Rb 0.1105 0.2210 0.5830
Au1 Au 0.0000 0.0000 0.0000
Au2 Au 0.0000 0.0000 0.5000
```

Principal peaks in the range 5 to 70 degrees two-theta, by angle:
two_theta, d [Å], I_rel, index
10.12, 8.737, 62, 0 1 2
12.04, 7.352, 25, 1 1 0
23.72, 3.751, 100, 3 0 3
30.70, 2.912, 37, 0 3 6
36.67, 2.451, 30, 3 3 0
39.90, 2.259, 20, 3 0 9
44.15, 2.051, 15, 0 6 3
59.64, 1.550, 14, 3 3 12

=====

[8]
KRb8Au3: theoretical powder XRD pattern (CuKα), based on a PBE-relaxed structure.

Atomic structure:
```
data_KRb8Au3
_chemical_formula_sum 'K3 Rb24 Au9'
_symmetry_space_group_name_H-M 'R -3 m'
_symmetry_Int_Tables_number 166
_symmetry_space_group_name_Hall '-R 3 2"'
_cell_length_a 10.2406
_cell_length_b 10.2406
_cell_length_c 25.9571
_cell_angle_alpha 90.00
_cell_angle_beta 90.00
_cell_angle_gamma 120.00
loop_
_atom_site_label
_atom_site_type_symbol
_atom_site_fract_x
_atom_site_fract_y
_atom_site_fract_z
K1 K 0.0000 0.0000 0.0000
Rb1 Rb 0.0000 0.0000 0.2411
Rb2 Rb 0.0209 0.5104 0.2359
Au1 Au 0.0000 0.5000 0.5000
```

Principal peaks in the range 5 to 70 degrees two-theta, by angle:
two_theta, d [Å], I_rel, index
10.22, 8.652, 70, 0 0 3
20.32, 4.371, 22, 0 2 1
24.31, 3.661, 100, 0 2 4
31.45, 2.845, 26, 0 2 7
34.24, 2.619, 35, 2 0 8
35.05, 2.560, 40, 2 2 0
36.61, 2.455, 23, 2 2 3
43.12, 2.098, 21, 4 0 4

=====

[9]
K3RbAu8: theoretical powder XRD pattern (CuKα), based on a PBE-relaxed structure.

Atomic structure:
```
data_K3RbAu8
_chemical_formula_sum 'K9 Rb3 Au24'
_symmetry_space_group_name_H-M 'R 3 m'
_symmetry_Int_Tables_number 160
_symmetry_space_group_name_Hall 'R 3 -2"'
_cell_length_a 5.8288
_cell_length_b 5.8288
_cell_length_c 29.0605
_cell_angle_alpha 90.00
_cell_angle_beta 90.00
_cell_angle_gamma 120.00
loop_
_atom_site_label
_atom_site_type_symbol
_atom_site_fract_x
_atom_site_fract_y
_atom_site_fract_z
K1 K 0.0000 0.0000 0.0000
K2 K 0.0000 0.0000 0.1248
K3 K 0.0000 0.0000 0.4996
Rb1 Rb 0.0000 0.0000 0.6253
Au1 Au 0.0000 0.0000 0.3126
Au2 Au 0.0000 0.0000 0.8123
Au3 Au 0.0013 0.5007 0.0635
Au4 Au 0.1672 0.3343 0.8946
```

Principal peaks in the range 5 to 70 degrees two-theta, by angle:
two_theta, d [Å], I_rel, index
18.32, 4.843, 31, 0 0 6
18.61, 4.768, 92, 0 1 2
35.65, 2.519, 41, 1 0 10
35.96, 2.497, 80, 1 1 6
36.12, 2.487, 39, 2 0 2
37.12, 2.422, 35, 0 0 12
37.73, 2.384, 100, 0 2 4
43.67, 2.073, 51, 2 0 8

=====

[10]
KRb3Au3: theoretical powder XRD pattern (CuKα), based on a PBE-relaxed structure.

Atomic structure:
```
data_KRb3Au3
_chemical_formula_sum 'K3 Rb9 Au9'
_symmetry_space_group_name_H-M 'R 3 m'
_symmetry_Int_Tables_number 160
_symmetry_space_group_name_Hall 'R 3 -2"'
_cell_length_a 11.6356
_cell_length_b 11.6356
_cell_length_c 7.2385
_cell_angle_alpha 90.00
_cell_angle_beta 90.00
_cell_angle_gamma 120.00
loop_
_atom_site_label
_atom_site_type_symbol
_atom_site_fract_x
_atom_site_fract_y
_atom_site_fract_z
K1 K 0.0000 0.0000 0.0000
Rb1 Rb 0.0001 0.5001 0.0010
Au1 Au 0.9999 0.5000 0.5010
```

Principal peaks in the range 5 to 70 degrees two-theta, by angle:
two_theta, d [Å], I_rel, index
15.23, 5.818, 37, 1 1 0
21.49, 4.135, 23, 0 2 1
30.41, 2.939, 100, 2 0 2
30.74, 2.909, 97, 2 2 0
43.78, 2.068, 37, 0 4 2
53.83, 1.703, 20, 0 2 4
54.44, 1.685, 39, 4 2 2
54.65, 1.679, 19, 6 0 0

=====

[11]
KRb5Au3: theoretical powder XRD pattern (CuKα), based on a PBE-relaxed structure.

Atomic structure:
```
data_KRb5Au3
_chemical_formula_sum 'K2 Rb10 Au6'
_symmetry_space_group_name_H-M 'P 1 2/m 1'
_symmetry_Int_Tables_number 10
_cell_length_a 8.448
_cell_length_b 4.788
_cell_length_c 25.330
_cell_angle_alpha 90.00
_cell_angle_beta 91.03
_cell_angle_gamma 90.00
loop_
_symmetry_equiv_pos_as_xyz
'x,y,z'
'-x,-y,-z'
'-x,y,-z'
'x,-y,z'
loop_
_atom_site_label
_atom_site_type_symbol
_atom_site_fract_x
_atom_site_fract_y
_atom_site_fract_z
K1 K 0.205 0.000 0.235
Rb1 Rb 0.180 0.000 0.909
Rb2 Rb 0.235 0.000 0.564
Rb3 Rb 0.262 0.500 0.394
Rb4 Rb 0.296 0.500 0.738
Rb5 Rb 0.319 0.500 0.077
Au1 Au 0.000 0.500 0.500
Au2 Au 0.011 0.500 0.170
Au3 Au 0.489 0.000 0.330
Au4 Au 0.500 0.000 0.000
```

Principal peaks in the range 5 to 70 degrees two-theta, by angle:
two_theta, d [Å], I_rel, index
14.70, 6.025, 67, 1 0 -3
14.97, 5.918, 83, 1 0 3
21.33, 4.165, 77, 0 1 3
23.73, 3.749, 33, 1 1 -3
29.65, 3.013, 33, 2 0 -6
30.00, 2.978, 80, 1 1 -6
30.25, 2.954, 100, 2 0 6
37.05, 2.427, 70, 3 1 0

=====

[12]
KRb8Au5: theoretical powder XRD pattern (CuKα), based on a PBE-relaxed structure.

Atomic structure:
```
data_KRb8Au5
_chemical_formula_sum 'K2 Rb16 Au10'
_symmetry_space_group_name_H-M 'C 1 m 1'
_symmetry_Int_Tables_number 8
_cell_length_a 25.692
_cell_length_b 4.926
_cell_length_c 12.605
_cell_angle_alpha 90.00
_cell_angle_beta 103.22
_cell_angle_gamma 90.00
loop_
_symmetry_equiv_pos_as_xyz
'x,y,z'
'x,-y,z'
'x+1/2,y+1/2,z'
'x+1/2,-y+1/2,z'
loop_
_atom_site_label
_atom_site_type_symbol
_atom_site_fract_x
_atom_site_fract_y
_atom_site_fract_z
K1 K 0.000 0.000 0.000
Rb1 Rb 0.076 0.000 0.661
Rb2 Rb 0.088 0.500 0.328
Rb3 Rb 0.169 0.500 0.994
Rb4 Rb 0.236 0.500 0.656
Rb5 Rb 0.263 0.000 0.345
Rb6 Rb 0.331 0.000 0.008
Rb7 Rb 0.411 0.000 0.673
Rb8 Rb 0.424 0.500 0.341
Au1 Au 0.000 0.500 0.501
Au2 Au 0.162 0.000 0.487
Au3 Au 0.206 0.000 0.830
Au4 Au 0.295 0.500 0.172
Au5 Au 0.337 0.500 0.514
```

Principal peaks in the range 5 to 70 degrees two-theta, by angle:
two_theta, d [Å], I_rel, index
7.07, 12.506, 63, 2 0 0
7.20, 12.271, 100, 0 0 1
20.92, 4.246, 49, 6 0 -1
22.94, 3.877, 97, 6 0 -2
26.88, 3.317, 66, 3 1 2
28.50, 3.132, 91, 6 0 2
32.09, 2.790, 79, 6 0 -4
36.37, 2.470, 74, 9 1 -1

=====

What is the formula in the first record? K3Rb3Au2

=====

Please write out number 8 again, unchanged.
KRb8Au3: theoretical powder XRD pattern (CuKα), based on a PBE-relaxed structure.

Atomic structure:
```
data_KRb8Au3
_chemical_formula_sum 'K3 Rb24 Au9'
_symmetry_space_group_name_H-M 'R -3 m'
_symmetry_Int_Tables_number 166
_symmetry_space_group_name_Hall '-R 3 2"'
_cell_length_a 10.2406
_cell_length_b 10.2406
_cell_length_c 25.9571
_cell_angle_alpha 90.00
_cell_angle_beta 90.00
_cell_angle_gamma 120.00
loop_
_atom_site_label
_atom_site_type_symbol
_atom_site_fract_x
_atom_site_fract_y
_atom_site_fract_z
K1 K 0.0000 0.0000 0.0000
Rb1 Rb 0.0000 0.0000 0.2411
Rb2 Rb 0.0209 0.5104 0.2359
Au1 Au 0.0000 0.5000 0.5000
```

Principal peaks in the range 5 to 70 degrees two-theta, by angle:
two_theta, d [Å], I_rel, index
10.22, 8.652, 70, 0 0 3
20.32, 4.371, 22, 0 2 1
24.31, 3.661, 100, 0 2 4
31.45, 2.845, 26, 0 2 7
34.24, 2.619, 35, 2 0 8
35.05, 2.560, 40, 2 2 0
36.61, 2.455, 23, 2 2 3
43.12, 2.098, 21, 4 0 4